For MgCrSF5, DFT lattice parameters and positions (PBE+U) gives the calculated X-ray powder pattern in this record (λ = 1.5418 Å (Cu Kα)).
Lines closer than 0.1° are merged.

Structure:
```
data_MgCrSF5
_cell_length_a 5.964
_cell_length_b 7.174
_cell_length_c 8.087
_cell_angle_alpha 108.14
_cell_angle_beta 104.35
_cell_angle_gamma 105.66
_symmetry_space_group_name_H-M 'P 1'
_symmetry_Int_Tables_number 1
_symmetry_space_group_name_Hall 'P 1'
loop_
_atom_site_label
_atom_site_fract_x
_atom_site_fract_y
_atom_site_fract_z
Mg1 0.000 0.000 0.000
Mg2 0.034 0.530 0.942
Cr1 0.707 0.795 0.188
Cr2 0.772 0.085 0.579
S1 0.024 0.447 0.399
S2 0.352 0.598 0.567
F1 0.040 0.006 0.248
F2 0.121 0.792 0.908
F3 0.368 0.585 0.100
F4 0.428 0.871 0.613
F5 0.609 0.027 0.307
F6 0.656 0.840 0.957
F7 0.781 0.373 0.693
F8 0.801 0.808 0.443
F9 0.825 0.572 0.087
F10 0.983 0.178 0.866
```

Largest 10 diffraction maxima, by angle, 2θ from 10° to 80°:
hkl 0 1 0, d = 6.315 Å, 2θ 14.02, I = 67; hkl 0 1 -1, d = 6.126 Å, 2θ 14.46, I = 53; hkl 1 0 0, d = 5.352 Å, 2θ 16.57, I = 85; hkl 1 -1 0, d = 5.151 Å, 2θ 17.21, I = 100; hkl 1 -1 1, d = 4.146 Å, 2θ 21.43, I = 72; hkl 1 1 -1, d = 3.924 Å, 2θ 22.66, I = 49; hkl 1 0 -2, d = 3.650 Å, 2θ 24.39, I = 34; hkl 0 1 -3, d = 2.609 Å, 2θ 34.37, I = 32; hkl -2 2 1, d = 2.438 Å, 2θ 36.87, I = 24; hkl 2 1 -1, d = 2.404 Å, 2θ 37.41, I = 36